1.
Computed PXRD pattern of Tm8Ge3Te4Pb for Cu Kα (weighted mean of Kα1 and Kα2), from a DFT-relaxed cell (GGA-PBE, Alexandria).
No peak broadening, texture or thermal motion is included.

Largest 10 diffraction maxima, in order of falling intensity, 5° ≤ 2θ ≤ 70°:
two_theta, d [Å], I_rel, hkl
29.62, 3.016, 100, 0 2 4
42.61, 2.122, 38, 2 2 0
42.16, 2.143, 35, 2 0 8
52.76, 1.735, 20, 4 0 4
69.40, 1.354, 13, 2 2 12
61.50, 1.508, 11, 0 4 8
51.99, 1.759, 5, 0 0 12
25.67, 3.470, 5, 2 0 2
32.30, 2.772, 3, 2 0 5
58.68, 1.573, 3, 2 2 9

Structure:
Cell: 8.4863 8.4863 21.1088 Å, 90.00 90.00 120.00°
Space group R-3m (No. 166, hexagonal axes)
Symmetry-distinct sites (fractional):
Tm: 0.0000 0.0000 0.2387 x6
Tm: 0.0111 0.5055 0.7589 x18
Ge: 0.0000 0.5000 0.5000 x9
Te: 0.0000 0.0000 0.0000 x3
Te: 0.0000 0.5000 0.0000 x9
Pb: 0.0000 0.0000 0.5000 x3



2.
Computed PXRD pattern of Ti6GePb2 for Cu Kα (weighted mean of Kα1 and Kα2), from a DFT-relaxed cell (GGA-PBE, Alexandria).
No peak broadening, texture or thermal motion is included.

Largest 10 diffraction maxima, in order of falling intensity, 5° ≤ 2θ ≤ 70°:
two_theta, d [Å], I_rel, hkl
34.62, 2.591, 100, 1 1 1
24.37, 3.652, 99, 1 1 0
37.51, 2.398, 66, 2 0 1
42.89, 2.109, 63, 3 0 0
45.24, 2.004, 63, 2 1 1
28.08, 3.178, 42, 1 0 1
67.62, 1.386, 32, 3 0 2
49.90, 1.828, 32, 2 2 0
24.21, 3.676, 26, 0 0 1
37.62, 2.391, 26, 2 1 0

Structure:
Cell: 7.3050 7.3050 3.6758 Å, 90.00 90.00 120.00°
Space group P-62m (No. 189)
Symmetry-distinct sites (fractional):
Ti: 0.0000 0.2392 0.0000 x3
Ti: 0.0000 0.6235 0.5000 x3
Ge: 0.0000 0.0000 0.5000 x1
Pb: 0.3333 0.6667 0.0000 x2



3.
Computed PXRD pattern of Ti2Ge2Pb for Cu Kα (weighted mean of Kα1 and Kα2), from a DFT-relaxed cell (GGA-PBE, Alexandria).
No peak broadening, texture or thermal motion is included.

Largest 10 diffraction maxima, in order of falling intensity, 5° ≤ 2θ ≤ 70°:
two_theta, d [Å], I_rel, hkl
34.83, 2.576, 100, 3 1 0
46.92, 1.937, 44, 3 1 1
39.41, 2.286, 42, 2 1 1
34.28, 2.616, 40, 1 1 1
15.38, 5.760, 38, 1 1 0
31.05, 2.880, 33, 2 2 0
21.82, 4.073, 26, 2 0 0
44.04, 2.056, 25, 2 2 1
59.74, 1.548, 23, 4 2 1
30.44, 2.936, 21, 0 0 1

Structure:
Cell: 8.1465 8.1465 2.9365 Å, 90.00 90.00 90.00°
Space group P4/mbm (No. 127)
Symmetry-distinct sites (fractional):
Ti: 0.1282 0.3718 0.0000 x4
Ge: 0.1602 0.6602 0.5000 x4
Pb: 0.0000 0.0000 0.5000 x2



4.
Computed PXRD pattern of Tl2GePb for Cu Kα (weighted mean of Kα1 and Kα2), from a DFT-relaxed cell (GGA-PBE, Alexandria).
No peak broadening, texture or thermal motion is included.

Largest 10 diffraction maxima, in order of falling intensity, 5° ≤ 2θ ≤ 70°:
two_theta, d [Å], I_rel, hkl
33.13, 2.704, 100, 2 2 0
59.17, 1.561, 39, 4 2 2
47.55, 1.912, 19, 4 0 0
69.52, 1.352, 12, 4 4 0
20.11, 4.416, 8, 1 1 1
39.06, 2.306, 5, 3 1 1
23.26, 3.825, 4, 2 0 0
52.12, 1.755, 2, 3 3 1
63.16, 1.472, 2, 5 1 1
53.58, 1.710, 2, 4 2 0

Structure:
Cell: 7.6492 7.6492 7.6492 Å, 90.00 90.00 90.00°
Space group Fm-3m (No. 225)
Symmetry-distinct sites (fractional):
Tl: 0.2500 0.2500 0.2500 x8
Ge: 0.0000 0.0000 0.0000 x4
Pb: 0.0000 0.0000 0.5000 x4



5.
Computed PXRD pattern of Tm5GePb2 for Cu Kα (weighted mean of Kα1 and Kα2), from a DFT-relaxed cell (GGA-PBE, Alexandria).
No peak broadening, texture or thermal motion is included.

Largest 10 diffraction maxima, in order of falling intensity, 5° ≤ 2θ ≤ 70°:
two_theta, d [Å], I_rel, hkl
31.57, 2.834, 100, 2 0 0
16.71, 5.307, 55, 1 1 0
33.36, 2.686, 48, 1 5 0
32.78, 2.732, 48, 1 1 4
45.25, 2.004, 31, 2 4 3
11.60, 7.627, 27, 0 2 0
36.88, 2.437, 20, 1 3 4
61.09, 1.517, 20, 1 9 3
23.97, 3.712, 19, 0 2 3
34.12, 2.628, 17, 1 5 1

Structure:
Cell: 5.6606 15.2550 12.7467 Å, 90.00 90.00 90.00°
Space group Cmcm (No. 63)
Symmetry-distinct sites (fractional):
Tm: 0.0000 0.0760 0.1065 x8
Tm: 0.0000 0.3043 0.7500 x4
Tm: 0.0000 0.3057 0.0458 x8
Ge: 0.0000 0.2111 0.2500 x4
Pb: 0.0000 0.1291 0.6189 x8



6.
Computed PXRD pattern of Tm8GePb5 for Cu Kα (weighted mean of Kα1 and Kα2), from a DFT-relaxed cell (GGA-PBE, Alexandria).
No peak broadening, texture or thermal motion is included.

Largest 10 diffraction maxima, in order of falling intensity, 5° ≤ 2θ ≤ 70°:
two_theta, d [Å], I_rel, hkl
30.84, 2.900, 100, 1 3 0
36.62, 2.454, 53, 3 2 1
30.56, 2.925, 46, 1 0 3
36.44, 2.465, 42, 2 1 3
44.14, 2.052, 16, 4 2 0
48.58, 1.874, 15, 4 2 2
62.34, 1.489, 15, 5 2 3
62.45, 1.487, 13, 1 6 1
50.61, 1.804, 12, 1 4 3
46.27, 1.962, 12, 2 3 3

Structure:
Cell: 9.1653 9.1653 9.2586 Å, 90.00 90.00 90.00°
Space group I-4 (No. 82)
Symmetry-distinct sites (fractional):
Tm: 0.0685 0.1928 0.1962 x8
Tm: 0.0713 0.3241 0.5469 x8
Ge: 0.0000 0.5000 0.2500 x2
Pb: 0.0000 0.0000 0.5000 x2
Pb: 0.1211 0.2496 0.8715 x8



7.
Computed PXRD pattern of YGePb2 for Cu Kα (weighted mean of Kα1 and Kα2), from a DFT-relaxed cell (GGA-PBE, Alexandria).
No peak broadening, texture or thermal motion is included.

Largest 10 diffraction maxima, in order of falling intensity, 5° ≤ 2θ ≤ 70°:
two_theta, d [Å], I_rel, hkl
32.85, 2.727, 100, 1 1 1
38.98, 2.311, 32, 2 0 0
66.75, 1.401, 26, 3 1 1
54.33, 1.689, 24, 2 0 2
36.31, 2.474, 19, 0 0 2
17.93, 4.948, 18, 0 0 1
63.14, 1.472, 16, 1 1 3
27.29, 3.268, 14, 1 1 0
68.87, 1.363, 12, 2 2 2
56.31, 1.634, 11, 2 2 0

Structure:
Cell: 4.6210 4.6210 4.9484 Å, 90.00 90.00 90.00°
Space group P4/mmm (No. 123)
Symmetry-distinct sites (fractional):
Y: 0.0000 0.0000 0.0000 x1
Ge: 0.5000 0.5000 0.0000 x1
Pb: 0.0000 0.5000 0.5000 x2



8.
Computed PXRD pattern of Y2ZnGePb for Cu Kα (weighted mean of Kα1 and Kα2), from a DFT-relaxed cell (GGA-PBE, Alexandria).
No peak broadening, texture or thermal motion is included.

Largest 10 diffraction maxima, in order of falling intensity, 5° ≤ 2θ ≤ 70°:
two_theta, d [Å], I_rel, hkl
33.60, 2.667, 100, 1 2 1
40.83, 2.210, 44, 1 0 3
26.04, 3.422, 34, 1 1 1
30.80, 2.903, 34, 1 0 2
40.24, 2.241, 29, 2 0 0
26.33, 3.385, 26, 0 1 2
65.99, 1.416, 24, 1 4 3
33.83, 2.649, 24, 0 2 2
11.61, 7.621, 23, 0 0 1
26.87, 3.318, 21, 0 2 1

Structure:
Cell: 4.4827 7.3725 7.6215 Å, 90.00 90.00 90.00°
Space group Pmmn (No. 59, origin choice 2)
Symmetry-distinct sites (fractional):
Y: 0.2500 0.0092 0.2157 x4
Zn: 0.2500 0.7500 0.5956 x2
Ge: 0.2500 0.7500 0.9210 x2
Pb: 0.2500 0.2500 0.6105 x2



9.
Computed PXRD pattern of Ge3Pd5 for Cu Kα (weighted mean of Kα1 and Kα2), from a DFT-relaxed cell (GGA-PBE, Alexandria).
No peak broadening, texture or thermal motion is included.

Largest 10 diffraction maxima, in order of falling intensity, 5° ≤ 2θ ≤ 70°:
two_theta, d [Å], I_rel, hkl
39.61, 2.276, 100, 2 2 2
44.34, 2.043, 22, 0 0 4
42.48, 2.128, 18, 4 0 0
63.08, 1.474, 11, 4 0 4
51.02, 1.790, 10, 0 4 0
40.72, 2.216, 9, 3 1 2
69.86, 1.346, 7, 0 4 4
39.20, 2.298, 6, 1 3 0
68.50, 1.370, 5, 4 4 0
45.27, 2.003, 5, 1 3 2

Structure:
Cell: 8.5116 7.1605 8.1718 Å, 90.00 90.00 90.00°
Space group Cmcm (No. 63)
Symmetry-distinct sites (fractional):
Ge: 0.0000 0.0022 0.2500 x4
Ge: 0.1974 0.5000 0.0000 x8
Pd: 0.0000 0.2034 0.5015 x8
Pd: 0.0000 0.4984 0.2500 x4
Pd: 0.2492 0.2474 0.2500 x8



10.
Computed PXRD pattern of GePd for Cu Kα (weighted mean of Kα1 and Kα2), from a DFT-relaxed cell (GGA-PBE, Alexandria).
No peak broadening, texture or thermal motion is included.

Largest 10 diffraction maxima, in order of falling intensity, 5° ≤ 2θ ≤ 70°:
two_theta, d [Å], I_rel, hkl
36.88, 2.437, 100, 0 2 0
43.05, 2.101, 94, 0 1 2
49.52, 1.841, 43, 1 2 -1
46.25, 1.963, 42, 1 1 1
46.54, 1.952, 41, 1 1 -2
31.93, 2.803, 39, 1 0 -1
31.79, 2.815, 37, 1 0 0
19.05, 4.658, 25, 0 0 1
36.99, 2.430, 21, 1 1 -1
63.12, 1.473, 16, 2 0 -1

Structure:
Cell: 2.9461 4.8746 4.8752 Å, 90.00 107.18 90.00°
Space group P2_1/m (No. 11)
Symmetry-distinct sites (fractional):
Ge: 0.0856 0.2500 0.1623 x2
Pd: 0.1944 0.7500 0.3883 x2



11.
Computed PXRD pattern of Ge2Pd13 for Cu Kα (weighted mean of Kα1 and Kα2), from a DFT-relaxed cell (GGA-PBE, Alexandria).
No peak broadening, texture or thermal motion is included.

Largest 10 diffraction maxima, in order of falling intensity, 5° ≤ 2θ ≤ 70°:
two_theta, d [Å], I_rel, hkl
39.51, 2.281, 100, 1 1 -2
43.02, 2.102, 81, 1 3 1
40.16, 2.246, 56, 0 2 3
40.51, 2.227, 47, 1 -2 1
52.75, 1.735, 19, 1 0 4
61.28, 1.513, 12, 3 2 0
63.65, 1.462, 12, -1 4 2
36.46, 2.464, 5, 2 1 1
35.88, 2.503, 4, 1 -2 0
63.95, 1.456, 3, 3 -1 2

Structure:
Cell: 5.0668 6.5857 7.5552 Å, 69.52 78.40 80.91°
Space group P-1 (No. 2)
Symmetry-distinct sites (fractional):
Ge: 0.1580 0.2851 0.4495 x2
Pd: 0.0000 0.5000 0.0000 x1
Pd: 0.0537 0.9163 0.7076 x2
Pd: 0.2128 0.6806 0.2220 x2
Pd: 0.2521 0.0950 0.9457 x2
Pd: 0.2794 0.5008 0.6478 x2
Pd: 0.4425 0.8886 0.3939 x2
Pd: 0.4786 0.3013 0.1409 x2



12.
Computed PXRD pattern of Pm12Ge7Pd for Cu Kα (weighted mean of Kα1 and Kα2), from a DFT-relaxed cell (GGA-PBE, Alexandria).
No peak broadening, texture or thermal motion is included.

Largest 10 diffraction maxima, in order of falling intensity, 5° ≤ 2θ ≤ 70°:
two_theta, d [Å], I_rel, hkl
31.99, 2.798, 100, 4 -1 2
26.94, 3.310, 60, 1 3 1
44.12, 2.052, 43, 5 2 0
29.54, 3.023, 26, 0 0 3
38.45, 2.341, 24, 4 -2 3
36.39, 2.469, 24, 3 0 3
53.98, 1.699, 21, 2 5 3
47.57, 1.911, 19, 4 -3 4
40.42, 2.232, 13, 5 1 1
11.95, 7.404, 12, 1 0 1

Structure:
Cell: 14.7944 14.7944 9.0789 Å, 90.00 90.00 120.00°
Space group R-3 (No. 148, hexagonal axes)
Symmetry-distinct sites (fractional):
Pm: 0.0312 0.5875 0.3082 x18
Pm: 0.0461 0.8708 0.2688 x18
Ge: 0.0000 0.0000 0.5000 x3
Ge: 0.0501 0.8586 0.9228 x18
Pd: 0.0000 0.0000 0.0000 x3



13.
Computed PXRD pattern of PmGe2Pd4 for Cu Kα (weighted mean of Kα1 and Kα2), from a DFT-relaxed cell (GGA-PBE, Alexandria).
No peak broadening, texture or thermal motion is included.

Largest 10 diffraction maxima, in order of falling intensity, 5° ≤ 2θ ≤ 70°:
two_theta, d [Å], I_rel, hkl
34.02, 2.635, 100, 2 1 1
42.76, 2.115, 49, 3 1 1
35.82, 2.507, 42, 3 1 0
39.46, 2.284, 36, 2 2 1
63.21, 1.471, 30, 5 0 1
46.08, 1.970, 27, 0 0 2
47.28, 1.923, 24, 4 1 0
59.70, 1.549, 19, 3 1 2
68.16, 1.376, 16, 4 1 2
31.93, 2.803, 8, 2 2 0

Structure:
Cell: 7.9274 7.9274 3.9393 Å, 90.00 90.00 90.00°
Space group P4_2/mnm (No. 136)
Symmetry-distinct sites (fractional):
Pm: 0.0000 0.0000 0.0000 x2
Ge: 0.2209 0.2209 0.5000 x4
Pd: 0.0824 0.6678 0.5000 x8